No. 1
# Nd3Co2C2N3
Calculated powder diffractogram, Cu Kα (weighted mean of Kα1 and Kα2). Input: a structure optimized by DFT (GGA-PBE).

Crystal structure
Lattice parameters (Å, degrees): 3.5815 3.5815 19.8801 90.00 90.00 90.00
Space group I4/mmm (No. 139)
Asymmetric unit:
Nd 0.0000 0.0000 0.0000 [2 per cell]
Nd 0.0000 0.0000 0.3707 [4 per cell]
Co 0.0000 0.5000 0.2500 [4 per cell]
C 0.0000 0.0000 0.1960 [4 per cell]
N 0.0000 0.0000 0.1251 [4 per cell]
N 0.0000 0.0000 0.5000 [2 per cell]

Top 10 peaks for 2θ = 5–70°, sorted by position:
2θ (°)	Rel. int.	h k l
28.33	100	1 0 3
33.68	63	1 0 5
35.45	40	1 1 0
36.15	45	0 0 8
36.62	33	1 1 2
39.96	31	1 1 4
45.06	33	1 1 6
51.00	38	2 0 0
59.36	28	2 1 3
64.10	32	2 0 8

---

No. 2
# PrCoC6N6
Calculated powder diffractogram, Cu Kα (weighted mean of Kα1 and Kα2). Input: a structure optimized by DFT (GGA-PBE).

Crystal structure
Lattice parameters (Å, degrees): 7.5529 7.5529 13.2031 90.00 90.00 120.00
Space group P6_3/mmc (No. 194)
Asymmetric unit:
Pr 0.3333 0.6667 0.2500 [2 per cell]
Co 0.0000 0.0000 0.0000 [2 per cell]
C 0.1153 0.2306 0.0815 [12 per cell]
N 0.1875 0.3751 0.1338 [12 per cell]

Top 10 peaks for 2θ = 5–70°, sorted by position:
2θ (°)	Rel. int.	h k l
15.12	100	1 0 1
19.10	60	1 0 2
23.56	23	1 1 0
24.38	12	1 0 3
30.50	13	2 0 2
34.16	23	2 0 3
36.14	25	1 1 4
36.99	19	2 1 1
38.90	11	2 1 2
50.14	11	3 0 4